# Tb2Pr3Pb4
Theoretical powder diffractogram, CuKα. Input: a structure optimized by DFT (PBE).
Intensities are scaled so that the largest is 100.

Structure:
Lattice parameters (Å, degrees): 8.7302 8.7302 6.9553 104.35 104.35 34.39
Fractional coordinates of all 9 atoms:
Tb 0.1656 0.1656 0.0787
Tb 0.8344 0.8344 0.9213
Pr 0.3810 0.3810 0.4223
Pr 0.5000 0.5000 0.0000
Pr 0.6190 0.6190 0.5777
Pb 0.0056 0.0056 0.2845
Pb 0.2553 0.2553 0.7208
Pb 0.7447 0.7447 0.2792
Pb 0.9944 0.9944 0.7155

Principal peaks in the range 5 to 70 degrees two-theta, by angle:
2θ = 22.07°, rel. 17
2θ = 29.46°, rel. 100
2θ = 29.90°, rel. 35
2θ = 32.54°, rel. 99
2θ = 33.48°, rel. 26
2θ = 34.76°, rel. 53
2θ = 43.04°, rel. 25
2θ = 46.49°, rel. 22

# Na6LiHg10
Theoretical powder diffractogram, CuKα. Input: a structure optimized by DFT (PBE).
Intensities are scaled so that the largest is 100.

Structure:
Lattice parameters (Å, degrees): 9.1483 9.1483 6.1011 90.00 90.00 120.00
Fractional coordinates of all 17 atoms:
Na 0.0000 0.3897 0.2702
Na 0.0000 0.6103 0.7298
Na 0.3897 0.0000 0.2702
Na 0.3897 0.3897 0.7298
Na 0.6103 0.0000 0.7298
Na 0.6103 0.6103 0.2702
Li 0.0000 0.0000 0.5000
Hg 0.0000 0.2441 0.7930
Hg 0.0000 0.7559 0.2070
Hg 0.2441 0.0000 0.7930
Hg 0.2441 0.2441 0.2070
Hg 0.3333 0.6667 0.0000
Hg 0.3333 0.6667 0.5000
Hg 0.6667 0.3333 0.0000
Hg 0.6667 0.3333 0.5000
Hg 0.7559 0.0000 0.2070
Hg 0.7559 0.7559 0.7930

Principal peaks in the range 5 to 70 degrees two-theta, by angle:
2θ = 22.44°, rel. 46
2θ = 24.32°, rel. 59
2θ = 29.84°, rel. 61
2θ = 31.42°, rel. 42
2θ = 33.33°, rel. 100
2θ = 33.95°, rel. 47
2θ = 35.37°, rel. 91
2θ = 55.30°, rel. 31

# PBr2F8
Theoretical powder diffractogram, CuKα. Input: a structure optimized by DFT (PBE).
Intensities are scaled so that the largest is 100.

Structure:
Lattice parameters (Å, degrees): 5.5459 6.0283 6.4279 113.30 98.50 94.65
Fractional coordinates of all 11 atoms:
P 0.0000 0.0000 0.0000
Br 0.4753 0.2524 0.5099
Br 0.5247 0.7476 0.4901
F 0.0535 0.1141 0.8197
F 0.0564 0.7398 0.8265
F 0.3058 0.0803 0.1284
F 0.3846 0.6119 0.1910
F 0.6154 0.3881 0.8090
F 0.6942 0.9197 0.8716
F 0.9436 0.2602 0.1735
F 0.9465 0.8859 0.1803

Principal peaks in the range 5 to 70 degrees two-theta, by angle:
2θ = 16.36°, rel. 27
2θ = 20.12°, rel. 100
2θ = 24.61°, rel. 36
2θ = 29.80°, rel. 32
2θ = 33.06°, rel. 25
2θ = 33.17°, rel. 24
2θ = 35.16°, rel. 23
2θ = 38.00°, rel. 28

# Dy2PuSb3
Theoretical powder diffractogram, CuKα. Input: a structure optimized by DFT (PBE).
Intensities are scaled so that the largest is 100.

Structure:
Lattice parameters (Å, degrees): 7.6081 7.6081 7.6081 146.31 131.78 60.11
Fractional coordinates of all 6 atoms:
Dy 0.1666 0.1666 0.0000
Dy 0.8334 0.8334 0.0000
Pu 0.5000 0.5000 0.0000
Sb 0.0000 0.5000 0.5000
Sb 0.3331 0.8331 0.5000
Sb 0.6669 0.1669 0.5000

Principal peaks in the range 5 to 70 degrees two-theta, by angle:
2θ = 24.79°, rel. 8
2θ = 28.70°, rel. 100
2θ = 40.94°, rel. 13
2θ = 41.07°, rel. 64
2θ = 50.77°, rel. 14
2θ = 50.93°, rel. 14
2θ = 59.44°, rel. 13
2θ = 67.34°, rel. 24

# Mg3Si2
Theoretical powder diffractogram, CuKα. Input: a structure optimized by DFT (PBE).
Intensities are scaled so that the largest is 100.

Structure:
Lattice parameters (Å, degrees): 5.4382 5.4382 6.7007 100.50 100.50 84.96
Fractional coordinates of all 10 atoms:
Mg 0.1532 0.8468 0.7500
Mg 0.2694 0.3593 0.0184
Mg 0.3593 0.2694 0.5184
Mg 0.6407 0.7306 0.4816
Mg 0.7306 0.6407 0.9816
Mg 0.8468 0.1532 0.2500
Si 0.0983 0.6651 0.3360
Si 0.3349 0.9017 0.1640
Si 0.6651 0.0983 0.8360
Si 0.9017 0.3349 0.6640

Principal peaks in the range 5 to 70 degrees two-theta, by angle:
2θ = 34.69°, rel. 54
2θ = 36.13°, rel. 100
2θ = 36.96°, rel. 85
2θ = 38.55°, rel. 54
2θ = 39.92°, rel. 60
2θ = 40.36°, rel. 62
2θ = 42.08°, rel. 73
2θ = 42.31°, rel. 56

# Hg2GeTe2Se
Theoretical powder diffractogram, CuKα. Input: a structure optimized by DFT (PBE).
Intensities are scaled so that the largest is 100.

Structure:
Lattice parameters (Å, degrees): 7.4757 7.4757 7.8305 90.00 90.00 61.09
Fractional coordinates of all 12 atoms:
Hg 0.0530 0.6153 0.5000
Hg 0.3847 0.9470 0.5000
Hg 0.6153 0.0530 0.0000
Hg 0.9470 0.3847 0.0000
Ge 0.2462 0.7538 0.0233
Ge 0.7538 0.2462 0.5233
Te 0.2406 0.4497 0.8186
Te 0.4497 0.2406 0.3186
Te 0.5503 0.7594 0.8186
Te 0.7594 0.5503 0.3186
Se 0.0474 0.9526 0.3696
Se 0.9526 0.0474 0.8696

Principal peaks in the range 5 to 70 degrees two-theta, by angle:
2θ = 22.71°, rel. 31
2θ = 26.07°, rel. 42
2θ = 26.43°, rel. 100
2θ = 32.85°, rel. 42
2θ = 33.14°, rel. 29
2θ = 42.10°, rel. 25
2θ = 42.23°, rel. 63
2θ = 43.05°, rel. 59

# Li6AcAl6
Theoretical powder diffractogram, CuKα. Input: a structure optimized by DFT (PBE).
Intensities are scaled so that the largest is 100.

Structure:
Lattice parameters (Å, degrees): 7.2425 7.2425 7.2425 135.46 98.38 98.14
Fractional coordinates of all 13 atoms:
Li 0.1443 0.1443 0.0000
Li 0.1462 0.5000 0.6462
Li 0.2926 0.7926 0.5000
Li 0.7074 0.2074 0.5000
Li 0.8538 0.5000 0.3538
Li 0.8557 0.8557 0.0000
Ac 0.5000 0.5000 0.0000
Al 0.0000 0.0000 0.5000
Al 0.0000 0.5000 0.0000
Al 0.2789 0.0000 0.2789
Al 0.5000 0.0000 0.0000
Al 0.5000 0.5000 0.5000
Al 0.7211 0.0000 0.7211

Principal peaks in the range 5 to 70 degrees two-theta, by angle:
2θ = 13.21°, rel. 81
2θ = 18.69°, rel. 65
2θ = 26.58°, rel. 100
2θ = 29.80°, rel. 23
2θ = 35.34°, rel. 16
2θ = 37.92°, rel. 83
2θ = 54.67°, rel. 24
2θ = 54.77°, rel. 21

# Ce5PuGe2Ru
Theoretical powder diffractogram, CuKα. Input: a structure optimized by DFT (PBE).
Intensities are scaled so that the largest is 100.

Structure:
Lattice parameters (Å, degrees): 9.1124 9.1124 10.2928 90.00 90.00 150.35
Fractional coordinates of all 18 atoms:
Ce 0.0128 0.9872 0.5000
Ce 0.1416 0.8584 0.2609
Ce 0.1863 0.8137 0.8984
Ce 0.2412 0.7588 0.5548
Ce 0.4610 0.5390 0.2633
Ce 0.5390 0.4610 0.7633
Ce 0.7588 0.2412 0.0548
Ce 0.8137 0.1863 0.3984
Ce 0.8584 0.1416 0.7609
Ce 0.9872 0.0128 0.0000
Pu 0.1038 0.8962 0.6913
Pu 0.8962 0.1038 0.1913
Ge 0.3685 0.6315 0.9903
Ge 0.4065 0.5935 0.5598
Ge 0.5935 0.4065 0.0598
Ge 0.6315 0.3685 0.4903
Ru 0.2785 0.7215 0.2160
Ru 0.7215 0.2785 0.7160

Principal peaks in the range 5 to 70 degrees two-theta, by angle:
2θ = 13.23°, rel. 58
2θ = 30.00°, rel. 60
2θ = 32.81°, rel. 57
2θ = 33.06°, rel. 44
2θ = 35.92°, rel. 30
2θ = 36.42°, rel. 100
2θ = 38.62°, rel. 65
2θ = 41.71°, rel. 23

# Mo4Ru
Theoretical powder diffractogram, CuKα. Input: a structure optimized by DFT (PBE).
Intensities are scaled so that the largest is 100.

Structure:
Lattice parameters (Å, degrees): 11.2812 11.1804 2.7155 85.17 80.95 13.88
Fractional coordinates of all 5 atoms:
Mo 0.0975 0.0975 0.9025
Mo 0.3011 0.3011 0.6989
Mo 0.6989 0.6989 0.3011
Mo 0.9025 0.9025 0.0975
Ru 0.5000 0.5000 0.5000

Principal peaks in the range 5 to 70 degrees two-theta, by angle:
2θ = 7.99°, rel. 1
2θ = 40.41°, rel. 100
2θ = 40.77°, rel. 24
2θ = 41.12°, rel. 24
2θ = 57.66°, rel. 9
2θ = 59.29°, rel. 15

# Cs2TbI5
Theoretical powder diffractogram, CuKα. Input: a structure optimized by DFT (PBE).
Intensities are scaled so that the largest is 100.

Structure:
Lattice parameters (Å, degrees): 11.0051 8.5405 17.4337 90.00 90.00 90.00
Fractional coordinates of all 32 atoms:
Cs 0.0463 0.2500 0.1978
Cs 0.1803 0.7500 0.4129
Cs 0.3197 0.2500 0.9129
Cs 0.4537 0.7500 0.6978
Cs 0.5463 0.2500 0.3022
Cs 0.6803 0.7500 0.0871
Cs 0.8197 0.2500 0.5871
Cs 0.9537 0.7500 0.8022
Tb 0.1893 0.7500 0.0600
Tb 0.3107 0.2500 0.5600
Tb 0.6893 0.7500 0.4400
Tb 0.8107 0.2500 0.9400
I 0.0000 0.0000 0.0000
I 0.0000 0.5000 0.0000
I 0.0369 0.7500 0.2038
I 0.1481 0.5067 0.6105
I 0.1481 0.9933 0.6105
I 0.2185 0.2500 0.3942
I 0.2815 0.7500 0.8942
I 0.3519 0.0067 0.1105
I 0.3519 0.4933 0.1105
I 0.4631 0.2500 0.7038
I 0.5000 0.0000 0.5000
I 0.5000 0.5000 0.5000
I 0.5369 0.7500 0.2962
I 0.6481 0.5067 0.8895
I 0.6481 0.9933 0.8895
I 0.7185 0.2500 0.1058
I 0.7815 0.7500 0.6058
I 0.8519 0.0067 0.3895
I 0.8519 0.4933 0.3895
I 0.9631 0.2500 0.7962

Principal peaks in the range 5 to 70 degrees two-theta, by angle:
2θ = 24.58°, rel. 35
2θ = 24.80°, rel. 29
2θ = 26.87°, rel. 100
2θ = 27.15°, rel. 39
2θ = 28.37°, rel. 54
2θ = 30.64°, rel. 32
2θ = 38.36°, rel. 29
2θ = 42.05°, rel. 34

# Ti8AlH6
Theoretical powder diffractogram, CuKα. Input: a structure optimized by DFT (PBE).
Intensities are scaled so that the largest is 100.

Structure:
Lattice parameters (Å, degrees): 8.1272 8.1272 2.8701 90.00 90.00 120.00
Fractional coordinates of all 15 atoms:
Ti 0.0000 0.3172 0.3120
Ti 0.0000 0.6828 0.6880
Ti 0.3172 0.0000 0.3120
Ti 0.3172 0.3172 0.6880
Ti 0.3333 0.6667 0.0000
Ti 0.6667 0.3333 0.0000
Ti 0.6828 0.0000 0.6880
Ti 0.6828 0.6828 0.3120
Al 0.0000 0.0000 0.0000
H 0.1525 0.5763 0.5000
H 0.4237 0.5763 0.5000
H 0.4237 0.8475 0.5000
H 0.5763 0.1525 0.5000
H 0.5763 0.4237 0.5000
H 0.8475 0.4237 0.5000

Principal peaks in the range 5 to 70 degrees two-theta, by angle:
2θ = 25.31°, rel. 2
2θ = 33.70°, rel. 2
2θ = 38.38°, rel. 100
2θ = 46.54°, rel. 2
2θ = 55.40°, rel. 15
2θ = 57.05°, rel. 2
2θ = 66.43°, rel. 1
2θ = 69.41°, rel. 28

# TcOs2NF
Theoretical powder diffractogram, CuKα. Input: a structure optimized by DFT (PBE).
Intensities are scaled so that the largest is 100.

Structure:
Lattice parameters (Å, degrees): 3.8528 3.8528 4.6695 90.00 90.00 90.00
Fractional coordinates of all 5 atoms:
Tc 0.0000 0.0000 0.0000
Os 0.0000 0.5000 0.5000
Os 0.5000 0.0000 0.5000
N 0.5000 0.5000 0.5000
F 0.5000 0.5000 0.0000

Principal peaks in the range 5 to 70 degrees two-theta, by angle:
2θ = 19.01°, rel. 43
2θ = 32.88°, rel. 18
2θ = 38.25°, rel. 100
2θ = 38.56°, rel. 27
2θ = 47.18°, rel. 30
2θ = 51.30°, rel. 14
2θ = 62.51°, rel. 26
2θ = 69.56°, rel. 17

# AcYCuS4
Theoretical powder diffractogram, CuKα. Input: a structure optimized by DFT (PBE).
Intensities are scaled so that the largest is 100.

Structure:
Lattice parameters (Å, degrees): 6.7757 5.7751 8.2095 90.00 107.28 90.00
Fractional coordinates of all 14 atoms:
Ac 0.2362 0.2500 0.4336
Ac 0.7638 0.7500 0.5664
Y 0.2349 0.2500 0.9369
Y 0.7651 0.7500 0.0631
Cu 0.2562 0.7500 0.1844
Cu 0.7438 0.2500 0.8156
S 0.0683 0.7500 0.3750
S 0.0682 0.7500 0.9041
S 0.4843 0.5127 0.7653
S 0.4843 0.9873 0.7653
S 0.5157 0.0127 0.2347
S 0.5157 0.4873 0.2347
S 0.9318 0.2500 0.0959
S 0.9317 0.2500 0.6250

Principal peaks in the range 5 to 70 degrees two-theta, by angle:
2θ = 20.62°, rel. 71
2θ = 27.55°, rel. 100
2θ = 30.97°, rel. 43
2θ = 33.82°, rel. 41
2θ = 34.00°, rel. 51
2θ = 38.76°, rel. 36
2θ = 41.94°, rel. 43
2θ = 44.13°, rel. 54